No. 1
Starting from DFT lattice parameters and positions (PBE), the X-ray diffraction stick pattern of NaInSn was calculated for a wavelength of 1.5418 Å.

Structure:
Cell: 4.9239 4.9239 7.9021 Å, 90.00 90.00 120.00°
Element x y z (fractional)
1 Na 0.0000 0.0000 0.0000
2 Na 0.0000 0.0000 0.5000
3 In 0.3333 0.6667 0.3064
4 In 0.6667 0.3333 0.8064
5 Sn 0.3333 0.6667 0.6956
6 Sn 0.6667 0.3333 0.1956

Top 6 peaks for 5° ≤ 2θ ≤ 70°, sorted by position:
- 2θ = 20.83°, I = 53
- 2θ = 23.71°, I = 44
- 2θ = 30.85°, I = 61
- 2θ = 36.50°, I = 100
- 2θ = 40.24°, I = 70
- 2θ = 43.30°, I = 45

No. 2
Starting from DFT lattice parameters and positions (PBE), the X-ray diffraction stick pattern of Er4GaRh3 was calculated for a wavelength of 1.5418 Å.

Structure:
Cell: 3.4895 4.8266 9.6125 Å, 90.00 90.00 90.00°
Element x y z (fractional)
1 Er 0.0000 0.0000 0.0000
2 Er 0.0000 0.0000 0.5000
3 Er 0.0000 0.5000 0.2406
4 Er 0.0000 0.5000 0.7594
5 Ga 0.5000 0.5000 0.5000
6 Rh 0.5000 0.0000 0.2501
7 Rh 0.5000 0.0000 0.7499
8 Rh 0.5000 0.5000 0.0000

Top 6 peaks for 5° ≤ 2θ ≤ 70°, sorted by position:
- 2θ = 36.88°, I = 100
- 2θ = 37.26°, I = 24
- 2θ = 37.42°, I = 24
- 2θ = 53.84°, I = 17
- 2θ = 66.94°, I = 17
- 2θ = 67.15°, I = 17

No. 3
Starting from DFT lattice parameters and positions (PBE), the X-ray diffraction stick pattern of Ti6Be15Cu8 was calculated for a wavelength of 1.5418 Å.

Structure:
Cell: 7.6054 7.6054 7.6054 Å, 60.00 60.00 60.00°
Element x y z (fractional)
1 Ti 0.1970 0.1970 0.8030
2 Ti 0.1970 0.8030 0.1970
3 Ti 0.1970 0.8030 0.8030
4 Ti 0.8030 0.1970 0.1970
5 Ti 0.8030 0.1970 0.8030
6 Ti 0.8030 0.8030 0.1970
7 Be 0.0000 0.0000 0.5000
8 Be 0.0000 0.5000 0.0000
9 Be 0.0000 0.5000 0.5000
10 Be 0.1733 0.1733 0.1733
11 Be 0.1733 0.1733 0.4800
12 Be 0.1733 0.4800 0.1733
13 Be 0.4800 0.1733 0.1733
14 Be 0.5000 0.0000 0.0000
15 Be 0.5000 0.0000 0.5000
16 Be 0.5000 0.5000 0.0000
17 Be 0.5000 0.5000 0.5000
18 Be 0.5200 0.8267 0.8267
19 Be 0.8267 0.5200 0.8267
20 Be 0.8267 0.8267 0.5200
21 Be 0.8267 0.8267 0.8267
22 Cu 0.1338 0.6221 0.6221
23 Cu 0.3779 0.3779 0.3779
24 Cu 0.3779 0.3779 0.8662
25 Cu 0.3779 0.8662 0.3779
26 Cu 0.6221 0.1338 0.6221
27 Cu 0.6221 0.6221 0.1338
28 Cu 0.6221 0.6221 0.6221
29 Cu 0.8662 0.3779 0.3779

Top 6 peaks for 5° ≤ 2θ ≤ 70°, sorted by position:
- 2θ = 14.26°, I = 33
- 2θ = 27.50°, I = 43
- 2θ = 33.32°, I = 26
- 2θ = 36.41°, I = 70
- 2θ = 43.73°, I = 71
- 2θ = 47.84°, I = 100

No. 4
Starting from DFT lattice parameters and positions (PBE), the X-ray diffraction stick pattern of TcCl8 was calculated for a wavelength of 1.5418 Å.

Structure:
Cell: 7.0398 7.0398 7.0398 Å, 108.44 108.44 111.55°
Element x y z (fractional)
1 Tc 0.0000 0.0000 0.0000
2 Cl 0.0000 0.2805 0.2805
3 Cl 0.0000 0.7195 0.7195
4 Cl 0.2805 0.0000 0.2805
5 Cl 0.3431 0.3431 0.6862
6 Cl 0.3431 0.6569 0.0000
7 Cl 0.6569 0.3431 0.0000
8 Cl 0.6569 0.6569 0.3138
9 Cl 0.7195 0.0000 0.7195

Top 6 peaks for 5° ≤ 2θ ≤ 70°, sorted by position:
- 2θ = 15.22°, I = 43
- 2θ = 15.53°, I = 36
- 2θ = 22.45°, I = 100
- 2θ = 34.60°, I = 98
- 2θ = 46.93°, I = 23
- 2θ = 47.81°, I = 35

No. 5
Starting from DFT lattice parameters and positions (PBE), the X-ray diffraction stick pattern of LaLu2 was calculated for a wavelength of 1.5418 Å.

Structure:
Cell: 6.7265 6.7265 6.7265 Å, 145.45 145.45 49.66°
Element x y z (fractional)
1 La 0.0000 0.0000 0.0000
2 Lu 0.3239 0.3239 0.0000
3 Lu 0.6761 0.6761 0.0000

Top 6 peaks for 5° ≤ 2θ ≤ 70°, sorted by position:
- 2θ = 31.38°, I = 100
- 2θ = 31.68°, I = 50
- 2θ = 45.41°, I = 19
- 2θ = 55.67°, I = 19
- 2θ = 56.24°, I = 39
- 2θ = 65.48°, I = 11